# La5Nd2Ho6
Calculated powder diffraction line list, Cu Ka. Input: a GGA-PBE-relaxed structure.
Lines closer than 0.1° are merged.

The 10 most intense peaks (2θ = 10–90°), by angle:
- 2θ = 28.66°, rel. 22, hkl 1 3 1
- 2θ = 30.69°, rel. 100, hkl 4 1 0
- 2θ = 30.83°, rel. 28, hkl 1 4 1
- 2θ = 31.60°, rel. 58, hkl 2 3 1
- 2θ = 33.60°, rel. 46, hkl 2 4 1
- 2θ = 34.30°, rel. 24, hkl 3 6 0
- 2θ = 36.02°, rel. 23, hkl 3 3 1
- 2θ = 50.13°, rel. 21, hkl 0 0 2
- 2θ = 50.73°, rel. 17, hkl 1 10 1
- 2θ = 59.95°, rel. 30, hkl 4 1 2

Structure:
a b c (Å): 11.773 21.036 3.639
angles (deg): 90.00 90.00 90.00
Element x y z (fractional)
1 La 0.000 0.000 0.000
2 La 0.061 0.289 0.000
3 La 0.197 0.568 0.000
4 La 0.303 0.068 0.000
5 La 0.439 0.789 0.000
6 La 0.500 0.500 0.000
7 La 0.561 0.211 0.000
8 La 0.697 0.932 0.000
9 La 0.803 0.432 0.000
10 La 0.939 0.711 0.000
11 Nd 0.197 0.731 0.500
12 Nd 0.303 0.231 0.500
13 Nd 0.697 0.769 0.500
14 Nd 0.803 0.269 0.500
15 Ho 0.060 0.142 0.500
16 Ho 0.075 0.433 0.500
17 Ho 0.191 0.876 0.000
18 Ho 0.309 0.376 0.000
19 Ho 0.425 0.933 0.500
20 Ho 0.440 0.642 0.500
21 Ho 0.560 0.358 0.500
22 Ho 0.575 0.067 0.500
23 Ho 0.691 0.624 0.000
24 Ho 0.809 0.124 0.000
25 Ho 0.925 0.567 0.500
26 Ho 0.940 0.858 0.500